This entry pairs a crystal structure of Tl2CdNi with its theoretical powder XRD pattern. Radiation: a wavelength of 1.5418 Å. Structure: the PBE geometry in OQMD.

The 10 most intense peaks (10° ≤ 2θ ≤ 90°), by angle:
d_spacing, I_rel
4.099, 17
2.510, 100
2.141, 10
1.775, 18
1.629, 4
1.449, 36
1.366, 3
1.255, 11
1.200, 3
1.123, 16

Atomic structure:
a = 5.0204 Å, b = 5.0204 Å, c = 5.0204 Å
α = 60.00°, β = 60.00°, γ = 60.00°
Positions (direct):
Tl1 0.0000 0.0000 0.0000
Tl2 0.2500 0.2500 0.2500
Cd1 0.7500 0.7500 0.7500
Ni1 0.5000 0.5000 0.5000